NiBr2F4: computed X-ray diffraction stick pattern (Cu Ka), based on a PBE+U-relaxed structure.

The 6 most intense peaks (10 to 90 degrees two-theta), by angle:
29.56 deg, I = 100
30.26 deg, I = 95
33.26 deg, I = 42
43.32 deg, I = 61
53.32 deg, I = 39
53.55 deg, I = 31

Structure:
Cell lengths 7.200, 7.200, 7.200 Å; angles 146.28, 146.28, 48.44 degrees
Fractional coordinates of all 7 atoms:
Ni: 0.000 0.000 0.000
Br: 0.302 0.302 0.000
Br: 0.698 0.698 0.000
F: 0.000 0.500 0.500
F: 0.162 0.162 0.000
F: 0.500 0.000 0.500
F: 0.838 0.838 0.000